Entry 1:
Starting from a cell relaxed with GGA+U, the X-ray powder pattern of LiFeP2O7 was computed for Cu Kα (λ = 1.5418 Å).

Cell and atoms:
a b c (Å): 8.220 8.220 8.812
angles (deg): 111.44 111.44 35.37
Fractional positions:
1 Li 0.162 0.838 0.500
2 Li 0.838 0.162 0.000
3 Fe 0.196 0.207 0.546
4 Fe 0.207 0.196 0.046
5 P 0.466 0.734 0.236
6 P 0.667 0.930 0.360
7 P 0.734 0.466 0.736
8 P 0.930 0.667 0.860
9 O 0.074 0.512 0.705
10 O 0.121 0.460 0.988
11 O 0.260 0.950 0.113
12 O 0.315 0.886 0.392
13 O 0.459 0.591 0.667
14 O 0.460 0.121 0.488
15 O 0.512 0.074 0.205
16 O 0.591 0.459 0.167
17 O 0.665 0.733 0.797
18 O 0.733 0.665 0.297
19 O 0.808 0.942 0.923
20 O 0.886 0.315 0.892
21 O 0.942 0.808 0.423
22 O 0.950 0.260 0.613

Main lines, in order of rising 2θ (2θ from 5° to 70°):
d_spacing, Position (°2θ), I_rel
7.232, 12.24, 1000
4.326, 20.53, 285
3.878, 22.93, 165
3.469, 25.68, 217
3.436, 25.93, 106
3.293, 27.08, 709
3.095, 28.85, 168
2.910, 30.73, 137
2.653, 33.79, 100
1.733, 52.81, 123

Entry 2:
Starting from a cell relaxed with GGA+U, the X-ray powder pattern of LiFe2P2O8 was computed for Cu Kα (λ = 1.5418 Å).

Cell and atoms:
a b c (Å): 7.793 5.459 8.533
angles (deg): 90.00 104.41 90.00
Fractional positions:
1 Li 0.000 0.174 0.000
2 Li 0.000 0.826 0.500
3 Fe 0.415 0.154 0.345
4 Fe 0.415 0.846 0.845
5 Fe 0.861 0.331 0.617
6 Fe 0.861 0.669 0.117
7 P 0.111 0.326 0.375
8 P 0.111 0.674 0.875
9 P 0.612 0.173 0.055
10 P 0.612 0.827 0.555
11 O 0.033 0.414 0.830
12 O 0.033 0.586 0.330
13 O 0.148 0.187 0.224
14 O 0.148 0.813 0.724
15 O 0.302 0.336 0.488
16 O 0.302 0.664 0.988
17 O 0.459 0.186 0.897
18 O 0.459 0.814 0.397
19 O 0.549 0.265 0.203
20 O 0.549 0.735 0.703
21 O 0.650 0.110 0.565
22 O 0.650 0.890 0.065
23 O 0.776 0.320 0.042
24 O 0.776 0.680 0.542
25 O 0.985 0.178 0.453
26 O 0.985 0.822 0.953

Main lines, in order of rising 2θ (2θ from 5° to 70°):
d_spacing, Position (°2θ), I_rel
4.555, 19.49, 639
4.423, 20.07, 670
4.077, 21.80, 907
3.683, 24.17, 1000
3.296, 27.06, 467
2.769, 32.33, 490
2.729, 32.82, 573
1.963, 46.26, 183
1.945, 46.71, 216
1.584, 58.25, 362

Entry 3:
Starting from a cell relaxed with GGA+U, the X-ray powder pattern of LiFe2P3O12 was computed for Cu Kα (λ = 1.5418 Å).

Cell and atoms:
a b c (Å): 8.707 8.707 6.410
angles (deg): 105.18 105.18 95.35
Fractional positions:
1 Li 0.215 0.785 0.750
2 Li 0.785 0.215 0.250
3 Fe 0.141 0.438 0.880
4 Fe 0.438 0.141 0.380
5 Fe 0.562 0.859 0.620
6 Fe 0.859 0.562 0.120
7 P 0.161 0.370 0.380
8 P 0.210 0.790 0.250
9 P 0.370 0.161 0.880
10 P 0.630 0.839 0.120
11 P 0.790 0.210 0.750
12 P 0.839 0.630 0.620
13 O 0.028 0.224 0.336
14 O 0.036 0.752 0.264
15 O 0.106 0.444 0.181
16 O 0.165 0.493 0.605
17 O 0.224 0.028 0.836
18 O 0.229 0.675 0.031
19 O 0.248 0.964 0.236
20 O 0.324 0.330 0.896
21 O 0.325 0.771 0.469
22 O 0.330 0.324 0.396
23 O 0.444 0.106 0.681
24 O 0.493 0.165 0.105
25 O 0.507 0.835 0.895
26 O 0.556 0.894 0.319
27 O 0.670 0.676 0.604
28 O 0.675 0.229 0.531
29 O 0.676 0.670 0.104
30 O 0.752 0.036 0.764
31 O 0.771 0.325 0.969
32 O 0.776 0.972 0.164
33 O 0.835 0.507 0.395
34 O 0.894 0.556 0.819
35 O 0.964 0.248 0.736
36 O 0.972 0.776 0.664

Main lines, in order of rising 2θ (2θ from 5° to 70°):
d_spacing, Position (°2θ), I_rel
6.437, 13.76, 358
5.672, 15.62, 248
5.401, 16.41, 1000
3.467, 25.69, 231
3.219, 27.72, 265
3.087, 28.92, 567
2.826, 31.66, 152
2.763, 32.40, 524
2.553, 35.15, 209
2.131, 42.43, 164

Entry 4:
Starting from a cell relaxed with GGA+U, the X-ray powder pattern of Li2FeP2O7 was computed for Cu Kα (λ = 1.5418 Å).

Cell and atoms:
a b c (Å): 7.585 7.585 11.051
angles (deg): 90.43 90.43 115.22
Fractional positions:
1 Li 0.211 0.783 0.500
2 Li 0.211 0.789 0.750
3 Li 0.214 0.786 0.250
4 Li 0.217 0.789 0.000
5 Li 0.783 0.211 0.000
6 Li 0.786 0.214 0.750
7 Li 0.789 0.211 0.250
8 Li 0.789 0.217 0.500
9 Fe 0.191 0.192 0.119
10 Fe 0.192 0.191 0.619
11 Fe 0.808 0.809 0.381
12 Fe 0.809 0.808 0.881
13 P 0.184 0.409 0.871
14 P 0.191 0.410 0.372
15 P 0.409 0.184 0.371
16 P 0.410 0.191 0.872
17 P 0.590 0.809 0.128
18 P 0.591 0.816 0.629
19 P 0.809 0.590 0.628
20 P 0.816 0.591 0.129
21 O 0.074 0.295 0.983
22 O 0.079 0.302 0.753
23 O 0.080 0.301 0.485
24 O 0.083 0.302 0.255
25 O 0.227 0.622 0.874
26 O 0.240 0.624 0.374
27 O 0.295 0.074 0.483
28 O 0.301 0.080 0.985
29 O 0.302 0.079 0.253
30 O 0.302 0.083 0.755
31 O 0.376 0.760 0.126
32 O 0.378 0.773 0.626
33 O 0.394 0.399 0.874
34 O 0.399 0.394 0.374
35 O 0.601 0.606 0.626
36 O 0.606 0.601 0.126
37 O 0.622 0.227 0.374
38 O 0.624 0.240 0.874
39 O 0.698 0.917 0.245
40 O 0.698 0.921 0.747
41 O 0.699 0.920 0.015
42 O 0.705 0.926 0.517
43 O 0.760 0.376 0.626
44 O 0.773 0.378 0.126
45 O 0.917 0.698 0.745
46 O 0.920 0.699 0.515
47 O 0.921 0.698 0.247
48 O 0.926 0.705 0.017

Main lines, in order of rising 2θ (2θ from 5° to 70°):
d_spacing, Position (°2θ), I_rel
6.405, 13.83, 978
4.063, 21.88, 1000
3.431, 25.97, 735
3.295, 27.06, 626
3.251, 27.43, 588
3.129, 28.52, 699
3.110, 28.70, 666
2.763, 32.41, 270
2.238, 40.30, 354
2.231, 40.43, 261

Entry 5:
Starting from a cell relaxed with GGA+U, the X-ray powder pattern of LiFe2P2O8 was computed for Cu Kα (λ = 1.5418 Å).

Cell and atoms:
a b c (Å): 7.487 7.529 9.525
angles (deg): 88.09 89.75 60.61
Fractional positions:
1 Li 0.000 0.000 0.000
2 Li 0.146 0.547 0.008
3 Li 0.772 0.731 0.509
4 Fe 0.014 0.331 0.777
5 Fe 0.370 0.842 0.787
6 Fe 0.396 0.745 0.307
7 Fe 0.508 0.181 0.793
8 Fe 0.576 0.241 0.292
9 Fe 0.902 0.385 0.283
10 P 0.299 0.123 0.485
11 P 0.303 0.129 0.090
12 P 0.610 0.464 0.586
13 P 0.627 0.446 0.986
14 P 0.955 0.794 0.255
15 P 0.956 0.794 0.754
16 O 0.049 0.573 0.822
17 O 0.075 0.897 0.816
18 O 0.086 0.187 0.430
19 O 0.119 0.335 0.127
20 O 0.181 0.689 0.315
21 O 0.276 0.947 0.148
22 O 0.301 0.128 0.653
23 O 0.310 0.119 0.923
24 O 0.382 0.262 0.428
25 O 0.415 0.645 0.635
26 O 0.452 0.900 0.441
27 O 0.469 0.383 0.935
28 O 0.502 0.110 0.149
29 O 0.560 0.665 0.943
30 O 0.601 0.466 0.414
31 O 0.625 0.437 0.157
32 O 0.632 0.261 0.645
33 O 0.727 0.916 0.813
34 O 0.803 0.480 0.618
35 O 0.843 0.017 0.310
36 O 0.843 0.291 0.940
37 O 0.850 0.676 0.314
38 O 0.947 0.797 0.597
39 O 0.967 0.796 0.096

Main lines, in order of rising 2θ (2θ from 5° to 70°):
d_spacing, Position (°2θ), I_rel
6.538, 13.54, 489
4.760, 18.64, 1000
3.788, 23.49, 558
3.762, 23.65, 432
3.743, 23.77, 455
3.005, 29.73, 514
2.949, 30.31, 377
2.903, 30.80, 496
2.707, 33.10, 429
2.654, 33.78, 324

Entry 6:
Starting from a cell relaxed with GGA+U, the X-ray powder pattern of LiFeP2O7 was computed for Cu Kα (λ = 1.5418 Å).

Cell and atoms:
a b c (Å): 5.274 5.274 4.566
angles (deg): 98.57 98.57 102.43
Fractional positions:
1 Li 0.000 0.000 0.000
2 Fe 0.624 0.376 0.000
3 P 0.083 0.502 0.590
4 P 0.498 0.917 0.410
5 O 0.225 0.775 0.500
6 O 0.288 0.377 0.745
7 O 0.402 0.092 0.198
8 O 0.623 0.712 0.255
9 O 0.678 0.066 0.710
10 O 0.908 0.598 0.802
11 O 0.934 0.322 0.290

Main lines, in order of rising 2θ (2θ from 5° to 70°):
d_spacing, Position (°2θ), I_rel
5.059, 17.53, 733
4.111, 21.62, 533
3.696, 24.08, 342
3.062, 29.16, 964
3.015, 29.63, 1000
2.955, 30.25, 896
2.530, 35.49, 256
2.108, 42.90, 254
2.068, 43.77, 370
1.593, 57.90, 331